The following is a calculated powder diffraction line list of Sr2Cu6P5. It was derived from DFT lattice parameters and positions (GGA-PBE), using Cu Kα.
Lines closer than 0.1° are merged.

Principal peaks in the range 10° ≤ 2θ ≤ 90°, low angle first:
| two_theta | I/Imax |
| --- | --- |
| 33.54 | 524 |
| 34.15 | 991 |
| 36.48 | 306 |
| 37.96 | 874 |
| 44.12 | 1000 |
| 48.47 | 395 |
| 56.54 | 222 |
| 58.53 | 293 |
| 64.16 | 309 |
| 77.04 | 219 |

```
Sr2Cu6P5
1.0
-2.053 2.053 12.315
2.053 -2.053 12.315
2.053 2.053 -12.315
Sr Cu P
2 6 5
Direct
0.149 0.149 0.000
0.851 0.851 0.000
0.052 0.552 0.500
0.250 0.750 0.500
0.448 0.948 0.500
0.552 0.052 0.500
0.750 0.250 0.500
0.948 0.448 0.500
0.000 0.000 0.000
0.302 0.302 0.000
0.396 0.396 0.000
0.604 0.604 0.000
0.698 0.698 0.000
```